Entry 1:
Simulated powder diffractogram of CaVP4O12 for Cu Kα X-rays, from a PBE+U-relaxed structure.
No peak broadening, texture or thermal motion is included.

The 12 most intense peaks (2θ = 10–90°), by intensity:
28.3°, intensity 100
20.0°, intensity 41
13.7°, intensity 37
26.5°, intensity 29
25.0°, intensity 25
18.4°, intensity 22
32.8°, intensity 22
23.8°, intensity 21
40.9°, intensity 21
35.6°, intensity 21
29.8°, intensity 20
18.6°, intensity 19

Cell and atoms:
```
data_CaVP4O12
_symmetry_space_group_name_H-M 'P 1'
_symmetry_Int_Tables_number 1
_cell_length_a 7.6265
_cell_length_b 7.6265
_cell_length_c 10.2908
_cell_angle_alpha 112.97
_cell_angle_beta 112.97
_cell_angle_gamma 70.55
loop_
_symmetry_equiv_pos_as_xyz
'x,y,z'
loop_
_atom_site_label
_atom_site_type_symbol
_atom_site_fract_x
_atom_site_fract_y
_atom_site_fract_z
Ca1 Ca 0.0472 0.9528 0.7500
Ca2 Ca 0.9528 0.0472 0.2500
V1 V 0.0000 0.5000 0.5000
V2 V 0.5000 0.0000 0.0000
P1 P 0.2739 0.7192 0.0278
P2 P 0.2808 0.7261 0.4722
P3 P 0.3040 0.3171 0.8084
P4 P 0.3171 0.3040 0.3084
P5 P 0.6829 0.6960 0.6916
P6 P 0.6960 0.6829 0.1916
P7 P 0.7192 0.2739 0.5278
P8 P 0.7261 0.2808 0.9722
O1 O 0.1057 0.8258 0.0861
O2 O 0.1381 0.2892 0.3315
O3 O 0.1742 0.8943 0.4139
O4 O 0.1882 0.3557 0.6649
O5 O 0.2027 0.6901 0.5729
O6 O 0.2511 0.4968 0.9455
O7 O 0.2892 0.1381 0.8315
O8 O 0.3042 0.5306 0.3352
O9 O 0.3099 0.7973 0.9271
O10 O 0.3557 0.1882 0.1649
O11 O 0.4694 0.6958 0.1648
O12 O 0.4968 0.2511 0.4455
O13 O 0.5032 0.7489 0.5545
O14 O 0.5306 0.3042 0.8352
O15 O 0.6443 0.8118 0.8351
O16 O 0.6901 0.2027 0.0729
O17 O 0.6958 0.4694 0.6648
O18 O 0.7108 0.8619 0.1685
O19 O 0.7489 0.5032 0.0545
O20 O 0.7973 0.3099 0.4271
O21 O 0.8118 0.6443 0.3351
O22 O 0.8258 0.1057 0.5861
O23 O 0.8619 0.7108 0.6685
O24 O 0.8943 0.1742 0.9139
```

Entry 2:
Simulated powder diffractogram of CaV3P4O14 for Cu Kα X-rays, from a PBE+U-relaxed structure.
No peak broadening, texture or thermal motion is included.

The 12 most intense peaks (2θ = 10–90°), by intensity:
29.5°, intensity 100
28.2°, intensity 60
29.9°, intensity 34
35.8°, intensity 32
32.5°, intensity 28
26.0°, intensity 27
33.4°, intensity 27
35.9°, intensity 22
27.3°, intensity 22
32.1°, intensity 21
30.2°, intensity 19
17.1°, intensity 19

Cell and atoms:
```
data_CaV3P4O14
_symmetry_space_group_name_H-M 'P 1'
_symmetry_Int_Tables_number 1
_cell_length_a 7.6043
_cell_length_b 7.8482
_cell_length_c 9.6128
_cell_angle_alpha 90.00
_cell_angle_beta 111.60
_cell_angle_gamma 90.00
loop_
_symmetry_equiv_pos_as_xyz
'x,y,z'
loop_
_atom_site_label
_atom_site_type_symbol
_atom_site_fract_x
_atom_site_fract_y
_atom_site_fract_z
Ca1 Ca 0.0000 0.0000 0.0000
Ca2 Ca 0.0000 0.5000 0.5000
V1 V 0.3113 0.1281 0.4740
V2 V 0.3113 0.3719 0.9740
V3 V 0.5000 0.0000 0.0000
V4 V 0.5000 0.5000 0.5000
V5 V 0.6887 0.6281 0.0260
V6 V 0.6887 0.8719 0.5260
P1 P 0.0990 0.0641 0.7068
P2 P 0.0990 0.4359 0.2068
P3 P 0.3735 0.7045 0.1886
P4 P 0.3735 0.7955 0.6886
P5 P 0.6265 0.2045 0.3114
P6 P 0.6265 0.2955 0.8114
P7 P 0.9010 0.5641 0.7932
P8 P 0.9010 0.9359 0.2932
O1 O 0.0979 0.5220 0.7960
O2 O 0.0979 0.9780 0.2960
O3 O 0.1163 0.1899 0.5917
O4 O 0.1163 0.3101 0.0917
O5 O 0.1758 0.6194 0.1773
O6 O 0.1758 0.8806 0.6773
O7 O 0.2252 0.1162 0.8703
O8 O 0.2252 0.3838 0.3703
O9 O 0.3195 0.6263 0.6049
O10 O 0.3195 0.8737 0.1049
O11 O 0.4635 0.5817 0.1097
O12 O 0.4635 0.9183 0.6097
O13 O 0.4875 0.7157 0.3569
O14 O 0.4875 0.7843 0.8569
O15 O 0.5125 0.2157 0.1431
O16 O 0.5125 0.2843 0.6431
O17 O 0.5365 0.0817 0.3903
O18 O 0.5365 0.4183 0.8903
O19 O 0.6805 0.1263 0.8951
O20 O 0.6805 0.3737 0.3951
O21 O 0.7748 0.6162 0.6297
O22 O 0.7748 0.8838 0.1297
O23 O 0.8242 0.1194 0.3227
O24 O 0.8242 0.3806 0.8227
O25 O 0.8837 0.6899 0.9083
O26 O 0.8837 0.8101 0.4083
O27 O 0.9021 0.0220 0.7040
O28 O 0.9021 0.4780 0.2040
```

Entry 3:
Simulated powder diffractogram of CaV2P2O10 for Cu Kα X-rays, from a PBE+U-relaxed structure.
No peak broadening, texture or thermal motion is included.

The 12 most intense peaks (2θ = 10–90°), by intensity:
31.3°, intensity 100
30.8°, intensity 89
26.4°, intensity 70
28.8°, intensity 53
36.6°, intensity 31
52.6°, intensity 30
55.2°, intensity 25
21.9°, intensity 23
44.7°, intensity 19
63.3°, intensity 18
62.0°, intensity 16
47.1°, intensity 16

Cell and atoms:
```
data_CaV2P2O10
_symmetry_space_group_name_H-M 'P 1'
_symmetry_Int_Tables_number 1
_cell_length_a 8.8298
_cell_length_b 6.9228
_cell_length_c 9.9577
_cell_angle_alpha 59.91
_cell_angle_beta 42.72
_cell_angle_gamma 77.37
loop_
_symmetry_equiv_pos_as_xyz
'x,y,z'
loop_
_atom_site_label
_atom_site_type_symbol
_atom_site_fract_x
_atom_site_fract_y
_atom_site_fract_z
Ca1 Ca 0.0000 0.0000 0.0000
Ca2 Ca 0.2500 0.2500 0.2500
V1 V 0.0958 0.6263 0.6445
V2 V 0.6055 0.6165 0.1542
V3 V 0.6165 0.6055 0.6237
V4 V 0.6263 0.0958 0.6335
P1 P 0.0382 0.4540 0.0464
P2 P 0.2036 0.7886 0.2118
P3 P 0.4540 0.0382 0.4614
P4 P 0.7886 0.2036 0.7960
O1 O 0.0012 0.3299 0.6972
O2 O 0.0676 0.3879 0.9013
O3 O 0.1693 0.8576 0.3581
O4 O 0.2411 0.9208 0.5555
O5 O 0.2783 0.5528 0.9201
O6 O 0.3299 0.0012 0.9717
O7 O 0.3487 0.6068 0.1824
O8 O 0.3879 0.0676 0.6432
O9 O 0.4088 0.5798 0.4217
O10 O 0.5528 0.2783 0.2488
O11 O 0.5798 0.4088 0.5897
O12 O 0.6068 0.3487 0.8621
O13 O 0.6351 0.8919 0.3924
O14 O 0.6603 0.8283 0.6702
O15 O 0.6945 0.9675 0.0089
O16 O 0.8283 0.6603 0.8412
O17 O 0.8576 0.1693 0.6149
O18 O 0.8919 0.6351 0.0807
O19 O 0.9208 0.2411 0.2825
O20 O 0.9675 0.6945 0.3292
```

Entry 4:
Simulated powder diffractogram of CaV4P4O20 for Cu Kα X-rays, from a PBE+U-relaxed structure.
No peak broadening, texture or thermal motion is included.

The 12 most intense peaks (2θ = 10–90°), by intensity:
27.3°, intensity 100
26.8°, intensity 82
19.1°, intensity 80
27.7°, intensity 54
32.2°, intensity 33
18.3°, intensity 27
21.7°, intensity 26
27.5°, intensity 25
57.2°, intensity 24
31.0°, intensity 23
18.1°, intensity 21
30.7°, intensity 18

Cell and atoms:
```
data_CaV4P4O20
_symmetry_space_group_name_H-M 'P 1'
_symmetry_Int_Tables_number 1
_cell_length_a 5.2957
_cell_length_b 7.3533
_cell_length_c 10.3677
_cell_angle_alpha 70.76
_cell_angle_beta 75.83
_cell_angle_gamma 69.64
loop_
_symmetry_equiv_pos_as_xyz
'x,y,z'
loop_
_atom_site_label
_atom_site_type_symbol
_atom_site_fract_x
_atom_site_fract_y
_atom_site_fract_z
Ca1 Ca 0.0000 0.0000 0.0000
V1 V 0.0000 0.0000 0.5000
V2 V 0.0686 0.7069 0.2810
V3 V 0.5000 0.5000 0.0000
V4 V 0.9314 0.2931 0.7190
P1 P 0.3072 0.5776 0.7063
P2 P 0.4195 0.0393 0.2155
P3 P 0.5805 0.9607 0.7845
P4 P 0.6928 0.4224 0.2937
O1 O 0.0112 0.1899 0.5745
O2 O 0.1122 0.4897 0.6739
O3 O 0.2173 0.6496 0.0963
O4 O 0.2301 0.8046 0.6308
O5 O 0.2497 0.9395 0.1729
O6 O 0.2695 0.5524 0.8645
O7 O 0.2758 0.0858 0.7989
O8 O 0.3134 0.0441 0.3677
O9 O 0.3929 0.2512 0.1146
O10 O 0.3966 0.5187 0.3493
O11 O 0.6034 0.4813 0.6507
O12 O 0.6071 0.7488 0.8854
O13 O 0.6866 0.9559 0.6323
O14 O 0.7242 0.9142 0.2011
O15 O 0.7305 0.4476 0.1355
O16 O 0.7503 0.0605 0.8271
O17 O 0.7699 0.1954 0.3692
O18 O 0.7827 0.3504 0.9037
O19 O 0.8878 0.5103 0.3261
O20 O 0.9888 0.8101 0.4255
```

Question: What is the formula in the second record?
Answer: CaV3P4O14